No. 1
Simulated X-ray diffraction stick pattern of Tl3In7Hg for Cu Kα (λ = 1.5418 Å), from a DFT-relaxed cell (GGA-PBE, Alexandria).
No peak broadening, texture or thermal motion is included.

Structure:
```
data_Tl3In7Hg
_cell_length_a 6.1937
_cell_length_b 6.7113
_cell_length_c 8.5169
_cell_angle_alpha 67.91
_cell_angle_beta 75.95
_cell_angle_gamma 87.98
_space_group_name_H-M_alt 'P 1'
_space_group_IT_number 1
_space_group_name_Hall 'P 1'
loop_
_atom_site_label
_atom_site_type_symbol
_atom_site_fract_x
_atom_site_fract_y
_atom_site_fract_z
Tl1 Tl 0.0000 0.0000 0.0000
Tl2 Tl 0.1249 0.4152 0.5133
Tl3 Tl 0.4709 0.1395 0.1964
In1 In 0.3121 0.4626 0.8459
In2 In 0.4289 0.6982 0.0991
In3 In 0.6235 0.6184 0.4384
In4 In 0.6325 0.1240 0.7507
In5 In 0.8145 0.6039 0.8018
In6 In 0.9217 0.9873 0.4294
In7 In 0.9257 0.4512 0.1692
Hg1 Hg 0.3013 0.9342 0.6248
```

Main lines, by intensity (10° ≤ 2θ ≤ 90°):
2θ = 33.2°, d = 2.702 Å, rel. 1000, hkl 2 1 2
2θ = 31.1°, d = 2.875 Å, rel. 913, hkl -1 2 1
2θ = 32.2°, d = 2.782 Å, rel. 825, hkl 1 -1 2
2θ = 29.4°, d = 3.037 Å, rel. 798, hkl -1 1 2
2θ = 34.7°, d = 2.584 Å, rel. 741, hkl 2 0 -1
2θ = 33.3°, d = 2.689 Å, rel. 740, hkl 1 2 0
2θ = 32.4°, d = 2.767 Å, rel. 688, hkl 1 1 3
2θ = 32.5°, d = 2.752 Å, rel. 656, hkl 0 1 3
2θ = 30.7°, d = 2.913 Å, rel. 608, hkl 1 0 -2
2θ = 31.4°, d = 2.847 Å, rel. 597, hkl 2 1 1


No. 2
Simulated X-ray diffraction stick pattern of Cd2PdAu3 for Cu Kα (λ = 1.5418 Å), from a DFT-relaxed cell (GGA-PBE, Alexandria).
No peak broadening, texture or thermal motion is included.

Structure:
```
data_Cd2PdAu3
_cell_length_a 4.1735
_cell_length_b 12.6748
_cell_length_c 4.1502
_cell_angle_alpha 90.00
_cell_angle_beta 90.00
_cell_angle_gamma 90.00
_space_group_name_H-M_alt 'C m m m'
_space_group_IT_number 65
_space_group_name_Hall '-C 2 2'
loop_
_atom_site_label
_atom_site_type_symbol
_atom_site_fract_x
_atom_site_fract_y
_atom_site_fract_z
Cd1 Cd 0.0000 0.1601 0.0000
Pd1 Pd 0.0000 0.5000 0.0000
Au1 Au 0.0000 0.0000 0.5000
Au2 Au 0.0000 0.3352 0.5000
```

Main lines, by intensity (10° ≤ 2θ ≤ 90°):
2θ = 37.2°, d = 2.415 Å, rel. 1000, hkl 1 3 1
2θ = 42.8°, d = 2.112 Å, rel. 167, hkl 0 6 0
2θ = 43.4°, d = 2.087 Å, rel. 164, hkl 2 0 0
2θ = 43.6°, d = 2.075 Å, rel. 161, hkl 0 0 2
2θ = 75.5°, d = 1.259 Å, rel. 128, hkl 3 3 1
2θ = 74.7°, d = 1.270 Å, rel. 126, hkl 1 9 1
2θ = 75.9°, d = 1.254 Å, rel. 125, hkl 1 3 3
2θ = 79.4°, d = 1.207 Å, rel. 111, hkl 2 6 2
2θ = 62.6°, d = 1.485 Å, rel. 108, hkl 2 6 0
2θ = 62.8°, d = 1.480 Å, rel. 107, hkl 0 6 2